Starting from a structure optimized by DFT (GGA-PBE), the powder X-ray diffraction pattern of CsTaPtS5 was computed for copper Kα.

a b c (Å): 6.914 8.534 9.305
angles (deg): 67.08 73.12 73.12
Fractional coordinates of all 16 atoms:
Cs 0.145 0.317 0.324
Cs 0.855 0.683 0.676
Ta 0.245 0.994 0.997
Ta 0.755 0.006 0.003
Pt 0.491 0.687 0.332
Pt 0.509 0.313 0.668
S 0.079 0.806 0.961
S 0.199 0.912 0.285
S 0.373 0.070 0.714
S 0.411 0.606 0.613
S 0.432 0.232 0.952
S 0.568 0.768 0.048
S 0.589 0.394 0.387
S 0.627 0.930 0.286
S 0.801 0.088 0.715
S 0.921 0.194 0.039

Principal peaks in the range 15° ≤ 2θ ≤ 90°, sorted by position:
two_theta	d_spacing	I_rel	hkl
15.1	5.862	57	1 1 1
21.8	4.082	71	-1 1 1
22.0	4.044	69	0 2 1
27.4	3.252	86	2 0 1
27.6	3.228	46	2 1 0
32.0	2.798	100	0 0 3
35.0	2.566	48	0 3 0
36.7	2.446	57	2 3 1
39.8	2.265	43	2 -2 0
53.4	1.715	52	4 2 2